Structure and simulated X-ray diffraction stick pattern of V3O8 (the GGA+U geometry in Alexandria; λ = 1.5418 Å (Cu Kα)).

The 12 most intense peaks (10° ≤ 2θ ≤ 80°), in order of rising 2θ:
15.63°, rel. 100, (0 0 1)
16.79°, rel. 16, (2 0 -1)
20.13°, rel. 48, (2 0 1)
22.77°, rel. 56, (4 0 -1)
29.97°, rel. 21, (6 0 0)
36.11°, rel. 37, (1 1 1)
45.60°, rel. 14, (3 1 -2)
46.19°, rel. 17, (1 1 2)
49.90°, rel. 10, (3 1 2)
50.37°, rel. 11, (10 0 -1)
52.99°, rel. 8, (7 1 1)
58.10°, rel. 11, (3 1 -3)

Crystal structure
Unit cell a=18.248 b=2.846 c=5.782 alpha=90.00 beta=101.37 gamma=90.00
Space group C2/m (No. 12)
Inequivalent atoms, fractional coordinates:
V: 0.000 0.000 0.000 x2
V: 0.178 0.000 0.819 x4
O: 0.042 0.500 0.192 x4
O: 0.086 0.000 0.847 x4
O: 0.183 0.500 0.626 x4
O: 0.206 0.500 0.067 x4